Structure and theoretical powder XRD pattern of TaBe2Pd (a structure optimized by DFT (GGA-PBE); Cu Kα (weighted mean of Kα1 and Kα2)).
Kinematic intensities with the Lorentz-polarization factor, no thermal factor.

```
data_TaBe2Pd
_chemical_formula_sum 'Ta1 Be2 Pd1'
_symmetry_space_group_name_H-M 'P 1'
_symmetry_Int_Tables_number 1
_cell_length_a 2.830
_cell_length_b 2.830
_cell_length_c 6.182
_cell_angle_alpha 90.00
_cell_angle_beta 90.00
_cell_angle_gamma 90.00
loop_
_symmetry_equiv_pos_as_xyz
'x,y,z'
loop_
_atom_site_label
_atom_site_type_symbol
_atom_site_fract_x
_atom_site_fract_y
_atom_site_fract_z
Ta1 Ta 0.000 0.000 0.000
Be1 Be 0.500 0.500 0.282
Be2 Be 0.500 0.500 0.718
Pd1 Pd 0.000 0.000 0.500
```

The 12 most intense peaks (2θ = 10–90°), low angle first:
- 2θ = 14.3°, rel. 17.6
- 2θ = 28.9°, rel. 63.6
- 2θ = 31.6°, rel. 100.0
- 2θ = 43.4°, rel. 99.1
- 2θ = 45.3°, rel. 43.8
- 2θ = 54.6°, rel. 43.3
- 2θ = 66.0°, rel. 14.2
- 2θ = 69.3°, rel. 21.5
- 2θ = 73.6°, rel. 17.7
- 2θ = 75.1°, rel. 16.7
- 2θ = 78.1°, rel. 17.3
- 2θ = 82.3°, rel. 30.9